Sm7Cd3: simulated PXRD pattern (Cu Kα (weighted mean of Kα1 and Kα2)), based on DFT lattice parameters and positions (GGA-PBE).
No peak broadening, texture or thermal motion is included.

Top 10 peaks for 2θ = 5–70°, in order of rising 2θ:
index, d [Å], Rel. int.
1 0 2, 3.197, 20
2 1 1, 3.019, 53
3 0 0, 2.966, 12
3 0 1, 2.719, 100
2 2 0, 2.569, 23
4 1 1, 1.867, 14
3 2 2, 1.754, 11
5 0 1, 1.722, 12
3 3 0, 1.713, 16
3 2 3, 1.522, 16

```
data_Sm7Cd3
_space_group_name_H-M_alt 'P 63 m c'
_space_group_IT_number 186
_space_group_name_Hall 'P 6c -2c'
_cell_length_a 10.2746
_cell_length_b 10.2746
_cell_length_c 6.8511
_cell_angle_alpha 90.00
_cell_angle_beta 90.00
_cell_angle_gamma 120.00
loop_
_atom_site_label
_atom_site_type_symbol
_atom_site_fract_x
_atom_site_fract_y
_atom_site_fract_z
Sm1 Sm 0.0618 0.5309 0.0000
Sm2 Sm 0.1242 0.2484 0.7445
Sm3 Sm 0.3333 0.6667 0.6224
Cd1 Cd 0.2050 0.4100 0.3033
```